Computed powder diffractogram of KMn3O6 for Cu Kα (weighted mean of Kα1 and Kα2), from DFT lattice parameters and positions (PBE+U).

Atomic structure:
Cell lengths 9.3424, 2.9326, 9.4091 Å; angles 90.00, 112.90, 90.00 degrees
Space group P2_1/m (No. 11)
Symmetry-distinct sites (fractional):
K 0.1263 0.2500 0.3986
Mn 0.1554 0.7500 0.0337
Mn 0.2584 0.2500 0.7876
Mn 0.4602 0.2500 0.3483
O 0.0337 0.2500 0.9015
O 0.1678 0.7500 0.6492
O 0.2531 0.2500 0.1719
O 0.3027 0.7500 0.9406
O 0.3802 0.7500 0.4398
O 0.4542 0.2500 0.7216

Peak list (12 most intense, 15 to 90 degrees two-theta, by angle)
| 2θ/deg | intensity |
| --- | --- |
| 17.1 | 100 |
| 19.1 | 44 |
| 26.4 | 92 |
| 28.7 | 47 |
| 29.8 | 44 |
| 31.2 | 39 |
| 36.2 | 92 |
| 37.0 | 79 |
| 38.8 | 37 |
| 40.7 | 67 |
| 54.5 | 44 |
| 59.5 | 45 |